1.
Theoretical powder XRD pattern
Compound: PaCrNiP2
Radiation: Cu Kα
Structure: DFT lattice parameters and positions (GGA-PBE)

Atomic structure:
Cell: 3.7687 3.7687 10.4100 Å, 90.00 90.00 90.00°
Space group I-4m2 (No. 119)
Symmetry-distinct sites (fractional):
1 Pa 0.0000 0.0000 0.0000
2 Cr 0.0000 0.5000 0.2500
3 Ni 0.0000 0.5000 0.7500
4 P 0.0000 0.0000 0.3718

Main lines, by angle (10 to 90 degrees two-theta):
d [Å], I (rel.), h k l
3.544, 80, 1 0 1
2.602, 22, 0 0 4
2.553, 77, 1 0 3
2.372, 100, 1 1 2
1.884, 35, 2 0 0
1.822, 27, 1 0 5
1.664, 21, 2 1 1
1.516, 32, 2 1 3
1.454, 22, 1 1 6
1.162, 20, 3 1 2

2.
Theoretical powder XRD pattern
Compound: SrCrNiP2
Radiation: Cu Kα
Structure: DFT lattice parameters and positions (GGA-PBE)

Atomic structure:
Cell: 3.8262 3.8262 12.0166 Å, 90.00 90.00 90.00°
Space group I-4m2 (No. 119)
Symmetry-distinct sites (fractional):
1 Sr 0.0000 0.0000 0.0000
2 Cr 0.0000 0.5000 0.7500
3 Ni 0.0000 0.5000 0.2500
4 P 0.0000 0.0000 0.3540

Main lines, by angle (10 to 90 degrees two-theta):
d [Å], I (rel.), h k l
6.008, 17, 0 0 2
3.646, 19, 1 0 1
3.004, 28, 0 0 4
2.767, 80, 1 0 3
2.467, 100, 1 1 2
1.913, 44, 2 0 0
1.614, 17, 2 0 4
1.610, 43, 1 1 6
1.574, 27, 2 1 3
1.186, 17, 3 1 2

3.
Theoretical powder XRD pattern
Compound: Pa2CrNi9
Radiation: Cu Kα
Structure: DFT lattice parameters and positions (GGA-PBE)

Atomic structure:
Cell: 4.8524 4.8524 24.2994 Å, 90.00 90.00 120.00°
Space group R-3m (No. 166, hexagonal axes)
Symmetry-distinct sites (fractional):
1 Pa 0.0000 0.0000 0.1333
2 Cr 0.0000 0.0000 0.0000
3 Ni 0.0000 0.0000 0.3331
4 Ni 0.0000 0.0000 0.5000
5 Ni 0.0015 0.5008 0.9176

Main lines, by angle (10 to 90 degrees two-theta):
d [Å], I (rel.), h k l
8.100, 91, 0 0 3
3.456, 76, 1 0 4
2.676, 79, 1 0 7
2.462, 89, 0 1 8
2.426, 96, 1 1 0
2.093, 61, 0 2 1
2.081, 100, 1 1 6
1.986, 54, 0 2 4
1.955, 62, 0 1 11
1.929, 60, 2 0 5

> Which formula does entry 1 have?

PaCrNiP2